[1]
For AlCr2Hg, a structure optimized by DFT (PBE) gives the calculated powder diffractogram in this record (copper Kα).
Peak positions follow from Bragg's law for the DFT cell and can differ from measured ones.

Principal peaks in the range 2θ = 10–90°, by angle:
3.861 Å, 2θ 23.0, intensity 25; 3.603 Å, 2θ 24.7, intensity 62; 2.880 Å, 2θ 31.1, intensity 25; 2.309 Å, 2θ 39.0, intensity 100; 2.040 Å, 2θ 44.4, intensity 17; 1.773 Å, 2θ 51.5, intensity 19

Structure:
```
4
Lattice="-2.0336 2.0396 3.8613 2.0336 -2.0396 3.8613 2.0336 2.0396 -3.8613" Properties=species:S:1:pos:R:3 pbc="T T T"
Al 0.0000 0.0000 0.0000
Cr 2.0336 0.0000 1.9315
Cr 0.0000 0.0000 3.8590
Hg 0.0000 2.0396 1.9307
```

=====

[2]
For AlCrHg2, a structure optimized by DFT (PBE) gives the calculated powder diffractogram in this record (copper Kα).
Peak positions follow from Bragg's law for the DFT cell and can differ from measured ones.

Principal peaks in the range 2θ = 10–90°, by angle:
4.014 Å, 2θ 22.1, intensity 44; 3.104 Å, 2θ 28.8, intensity 60; 2.954 Å, 2θ 30.3, intensity 43; 2.498 Å, 2θ 35.9, intensity 50; 2.460 Å, 2θ 36.5, intensity 100; 2.277 Å, 2θ 39.6, intensity 97

Structure:
```
4
Lattice="5.2353 -1.6325 0.0000 5.2353 1.6325 0.0000 -1.4239 0.0000 4.5515" Properties=species:S:1:pos:R:3 pbc="T T T"
Al 0.0000 0.0000 0.0000
Cr 7.0207 0.0000 1.3025
Hg 1.3767 0.0000 3.6730
Hg 4.1510 0.0000 2.1360
```

=====

[3]
For Al2CrHgI, a structure optimized by DFT (PBE) gives the calculated powder diffractogram in this record (copper Kα).
Peak positions follow from Bragg's law for the DFT cell and can differ from measured ones.

Principal peaks in the range 2θ = 10–90°, by angle:
3.714 Å, 2θ 24.0, intensity 100; 3.542 Å, 2θ 25.1, intensity 65; 2.505 Å, 2θ 35.9, intensity 46; 2.181 Å, 2θ 41.4, intensity 35; 2.077 Å, 2θ 43.6, intensity 43; 1.857 Å, 2θ 49.1, intensity 37

Structure:
```
5
Lattice="5.0093 0.0000 0.0000 0.0000 5.0093 0.0000 0.0000 0.0000 5.5355" Properties=species:S:1:pos:R:3 pbc="T T T"
Al 0.0000 2.5046 0.0000
Al 2.5046 0.0000 0.0000
Cr 0.0000 0.0000 2.7678
Hg 0.0000 0.0000 0.0000
I 2.5046 2.5046 2.7678
```

=====

[4]
For NaAl2CrI, a structure optimized by DFT (PBE) gives the calculated powder diffractogram in this record (copper Kα).
Peak positions follow from Bragg's law for the DFT cell and can differ from measured ones.

Principal peaks in the range 2θ = 10–90°, by angle:
3.911 Å, 2θ 22.7, intensity 100; 3.188 Å, 2θ 28.0, intensity 41; 3.069 Å, 2θ 29.1, intensity 50; 2.476 Å, 2θ 36.3, intensity 40; 2.092 Å, 2θ 43.3, intensity 35; 1.955 Å, 2θ 46.5, intensity 53

Structure:
```
5
Lattice="4.9515 0.0000 0.0000 0.0000 4.9515 0.0000 0.0000 0.0000 6.3752" Properties=species:S:1:pos:R:3 pbc="T T T"
Na 0.0000 0.0000 0.0000
Al 0.0000 2.4758 3.1876
Al 2.4758 0.0000 3.1876
Cr 0.0000 0.0000 3.1876
I 2.4758 2.4758 0.0000
```

=====

[5]
For ScAlCrIr, a structure optimized by DFT (PBE) gives the calculated powder diffractogram in this record (copper Kα).
Peak positions follow from Bragg's law for the DFT cell and can differ from measured ones.

Principal peaks in the range 2θ = 10–90°, by angle:
3.627 Å, 2θ 24.5, intensity 46; 3.141 Å, 2θ 28.4, intensity 38; 2.221 Å, 2θ 40.6, intensity 100; 1.894 Å, 2θ 48.0, intensity 24; 1.570 Å, 2θ 58.8, intensity 16; 1.282 Å, 2θ 73.9, intensity 33

Structure:
```
4
Lattice="0.0000 3.1409 3.1409 3.1409 0.0000 3.1409 3.1409 3.1409 0.0000" Properties=species:S:1:pos:R:3 pbc="T T T"
Sc 0.0000 0.0000 0.0000
Al 3.1409 3.1409 3.1409
Cr 4.7113 4.7113 4.7113
Ir 1.5704 1.5704 1.5704
```

=====

[6]
For LaAl20Cr2, a structure optimized by DFT (PBE) gives the calculated powder diffractogram in this record (copper Kα).
Peak positions follow from Bragg's law for the DFT cell and can differ from measured ones.

Principal peaks in the range 2θ = 10–90°, by angle:
5.129 Å, 2θ 17.3, intensity 51; 4.374 Å, 2θ 20.3, intensity 92; 2.452 Å, 2θ 36.6, intensity 100; 2.294 Å, 2θ 39.3, intensity 68; 2.212 Å, 2θ 40.8, intensity 99; 2.187 Å, 2θ 41.3, intensity 78

Structure:
```
46
Lattice="0.0000 7.2531 7.2531 7.2531 0.0000 7.2531 7.2531 7.2531 0.0000" Properties=species:S:1:pos:R:3 pbc="T T T"
La 1.8133 1.8133 1.8133
La 12.6929 12.6929 12.6929
Al 0.0000 0.0000 0.0000
Al 3.6265 3.6265 0.0000
Al 3.6265 0.0000 3.6265
Al 4.7466 2.7867 2.7867
Al 8.0929 6.1330 2.7867
Al 8.0929 2.7867 6.1330
Al 9.7595 6.4133 6.4133
Al 11.7194 8.3732 6.4133
Al 11.7194 6.4133 8.3732
Al 5.4398 5.4398 3.4661
Al 5.4398 3.4661 5.4398
Al 7.4135 5.4398 5.4398
Al 2.7867 4.7466 2.7867
Al 6.1330 8.0929 2.7867
Al 2.7867 2.7867 4.7466
Al 8.0929 8.0929 4.7466
Al 6.1330 2.7867 8.0929
Al 8.0929 4.7466 8.0929
Al 9.0664 9.0664 7.0927
Al 9.0664 7.0927 9.0664
Al 11.0400 9.0664 9.0664
Al 0.0000 3.6265 3.6265
Al 3.4661 5.4398 5.4398
Al 5.4398 7.4135 5.4398
Al 5.4398 5.4398 7.4135
Al 6.4133 9.7595 6.4133
Al 8.3732 11.7194 6.4133
Al 6.4133 6.4133 9.7595
Al 11.7194 11.7194 9.7595
Al 8.3732 6.4133 11.7194
Al 11.7194 9.7595 11.7194
Al 7.0927 9.0664 9.0664
Al 9.0664 11.0400 9.0664
Al 9.0664 9.0664 11.0400
Al 2.7867 8.0929 6.1330
Al 2.7867 6.1330 8.0929
Al 4.7466 8.0929 8.0929
Al 6.4133 11.7194 8.3732
Al 6.4133 8.3732 11.7194
Al 9.7595 11.7194 11.7194
Cr 7.2531 3.6265 3.6265
Cr 3.6265 7.2531 3.6265
Cr 3.6265 3.6265 7.2531
Cr 7.2531 7.2531 7.2531
```

=====

Copy entry 5 word for word.
For ScAlCrIr, a structure optimized by DFT (PBE) gives the calculated powder diffractogram in this record (copper Kα).
Peak positions follow from Bragg's law for the DFT cell and can differ from measured ones.

Principal peaks in the range 2θ = 10–90°, by angle:
3.627 Å, 2θ 24.5, intensity 46; 3.141 Å, 2θ 28.4, intensity 38; 2.221 Å, 2θ 40.6, intensity 100; 1.894 Å, 2θ 48.0, intensity 24; 1.570 Å, 2θ 58.8, intensity 16; 1.282 Å, 2θ 73.9, intensity 33

Structure:
```
4
Lattice="0.0000 3.1409 3.1409 3.1409 0.0000 3.1409 3.1409 3.1409 0.0000" Properties=species:S:1:pos:R:3 pbc="T T T"
Sc 0.0000 0.0000 0.0000
Al 3.1409 3.1409 3.1409
Cr 4.7113 4.7113 4.7113
Ir 1.5704 1.5704 1.5704
```

=====

Question: What is the formula in the sixth record?
Answer: LaAl20Cr2